Calculated X-ray powder pattern of Mg6AlGa for Cu Kα, 1.54184 Å, from a PBE-relaxed structure.
No peak broadening, texture or thermal motion is included.

Largest 8 diffraction maxima, in order of rising 2θ, 2θ from 10° to 90°:
2θ/deg  d_spacing  I (rel.)  (hkl)
16.58  5.347  27  0 1 1
24.04  3.702  22  1 0 2
33.58  2.669  25  0 2 2
34.99  2.565  41  2 0 0
37.82  2.379  50  1 0 4
38.01  2.367  100  1 2 2
64.76  1.440  20  3 2 2
71.18  1.325  19  2 2 6

Crystal structure
```
data_Mg6AlGa
_chemical_formula_sum 'Mg12 Al2 Ga2'
_symmetry_space_group_name_H-M 'P 1'
_symmetry_Int_Tables_number 1
_cell_length_a 5.129
_cell_length_b 6.151
_cell_length_c 10.738
_cell_angle_alpha 90.00
_cell_angle_beta 90.00
_cell_angle_gamma 90.00
loop_
_symmetry_equiv_pos_as_xyz
'x,y,z'
loop_
_atom_site_label
_atom_site_type_symbol
_atom_site_fract_x
_atom_site_fract_y
_atom_site_fract_z
_atom_site_occupancy
Mg1 Mg 0.000 0.000 0.000 1
Mg2 Mg 0.000 0.248 0.252 1
Mg3 Mg 0.000 0.252 0.752 1
Mg4 Mg 0.000 0.500 0.500 1
Mg5 Mg 0.000 0.748 0.752 1
Mg6 Mg 0.000 0.752 0.252 1
Mg7 Mg 0.500 0.000 0.834 1
Mg8 Mg 0.500 0.248 0.582 1
Mg9 Mg 0.500 0.252 0.082 1
Mg10 Mg 0.500 0.500 0.334 1
Mg11 Mg 0.500 0.748 0.082 1
Mg12 Mg 0.500 0.752 0.582 1
Al1 Al 0.000 0.000 0.501 1
Al2 Al 0.000 0.500 0.001 1
Ga1 Ga 0.500 0.000 0.334 1
Ga2 Ga 0.500 0.500 0.834 1
```